This entry pairs a crystal structure of Li2ScFe with its simulated X-ray powder pattern. Radiation: Cu Kα (weighted mean of Kα1 and Kα2). Structure: a cell relaxed with PBE.
Lines closer than 0.1° are merged.

```
Li2ScFe
1.0
2.930 0.000 0.000
0.000 5.023 0.000
-0.592 0.000 4.447
Li Sc Fe
2 1 1
direct
0.219 0.000 0.277 Li
0.781 0.000 0.723 Li
0.500 0.500 0.000 Sc
0.000 0.500 0.500 Fe
```

Principal peaks in the range 2θ from 10° to 80°, low angle first:
2theta, I/Imax, (hkl)
17.7, 100, 0 1 0
34.6, 18, 1 0 -1
35.8, 24, 0 2 0
39.1, 36, 1 1 -1
39.2, 18, 1 0 1
40.6, 11, 0 0 2
43.3, 18, 1 1 1
44.6, 24, 0 1 2
50.6, 11, 1 2 -1
54.1, 13, 1 2 1